1.
Calculated powder X-ray diffraction pattern of SmDy6Sc3 for CuKα, from a PBE-relaxed structure.

Structure:
```
data_SmDy6Sc3
_chemical_formula_sum 'Sm1 Dy6 Sc3'
_space_group_name_H-M_alt 'P 1'
_space_group_IT_number 1
_cell_length_a 6.7084
_cell_length_b 6.7084
_cell_length_c 6.7084
_cell_angle_alpha 91.46
_cell_angle_beta 91.46
_cell_angle_gamma 91.46
loop_
_space_group_symop_operation_xyz
'x,y,z'
loop_
_atom_site_label
_atom_site_fract_x
_atom_site_fract_y
_atom_site_fract_z
_atom_site_occupancy
Sm1 0.0000 0.0000 0.0000 1
Dy1 0.1633 0.8352 0.4989 1
Dy2 0.3400 0.6587 0.9987 1
Dy3 0.4989 0.1633 0.8352 1
Dy4 0.6587 0.9987 0.3400 1
Dy5 0.8352 0.4989 0.1633 1
Dy6 0.9987 0.3400 0.6587 1
Sc1 0.2603 0.2603 0.2603 1
Sc2 0.5004 0.5004 0.5004 1
Sc3 0.7408 0.7408 0.7408 1
```

Most intense lines, 2θ = 5–70°, sorted by position:
| Position (°2θ) | I (rel.) |
| --- | --- |
| 30.1 | 100 |
| 32.3 | 91 |
| 44.7 | 34 |
| 56.2 | 34 |
| 57.6 | 17 |
| 59.2 | 24 |



2.
Calculated powder X-ray diffraction pattern of Nd2HoSn2Hg2 for CuKα, from a PBE-relaxed structure.

Structure:
```
data_Nd2HoSn2Hg2
_chemical_formula_sum 'Nd2 Ho1 Sn2 Hg2'
_space_group_name_H-M_alt 'P 1'
_space_group_IT_number 1
_cell_length_a 9.5766
_cell_length_b 9.5766
_cell_length_c 9.5766
_cell_angle_alpha 30.32
_cell_angle_beta 30.32
_cell_angle_gamma 30.32
loop_
_space_group_symop_operation_xyz
'x,y,z'
loop_
_atom_site_label
_atom_site_fract_x
_atom_site_fract_y
_atom_site_fract_z
_atom_site_occupancy
Nd1 0.1292 0.1292 0.1292 1
Nd2 0.8708 0.8708 0.8708 1
Ho1 0.0000 0.0000 0.0000 1
Sn1 0.2750 0.2750 0.2750 1
Sn2 0.7250 0.7250 0.7250 1
Hg1 0.4253 0.4253 0.4253 1
Hg2 0.5747 0.5747 0.5747 1
```

Most intense lines, 2θ = 5–70°, sorted by position:
| Position (°2θ) | I (rel.) |
| --- | --- |
| 30.8 | 100 |
| 35.9 | 78 |
| 48.0 | 39 |
| 51.2 | 15 |
| 61.3 | 34 |
| 64.4 | 14 |



3.
Calculated powder X-ray diffraction pattern of Pr2HoPuSe4 for CuKα, from a PBE-relaxed structure.

Structure:
```
data_Pr2HoPuSe4
_chemical_formula_sum 'Pr2 Ho1 Pu1 Se4'
_space_group_name_H-M_alt 'P 1'
_space_group_IT_number 1
_cell_length_a 7.2248
_cell_length_b 4.1495
_cell_length_c 7.2983
_cell_angle_alpha 90.00
_cell_angle_beta 108.99
_cell_angle_gamma 90.00
loop_
_space_group_symop_operation_xyz
'x,y,z'
loop_
_atom_site_label
_atom_site_fract_x
_atom_site_fract_y
_atom_site_fract_z
_atom_site_occupancy
Pr1 0.0000 0.0000 0.0000 1
Pr2 0.5000 0.5000 0.0000 1
Ho1 0.0000 0.5000 0.5000 1
Pu1 0.5000 0.0000 0.5000 1
Se1 0.2413 0.0000 0.7343 1
Se2 0.2512 0.5000 0.2633 1
Se3 0.7488 0.5000 0.7367 1
Se4 0.7587 0.0000 0.2657 1
```

Most intense lines, 2θ = 5–70°, sorted by position:
| Position (°2θ) | I (rel.) |
| --- | --- |
| 30.2 | 100 |
| 42.9 | 13 |
| 43.1 | 25 |
| 43.4 | 25 |
| 43.6 | 12 |
| 54.0 | 13 |



4.
Calculated powder X-ray diffraction pattern of La6Pm5Pr for CuKα, from a PBE-relaxed structure.

Structure:
```
data_La6Pm5Pr
_chemical_formula_sum 'La6 Pm5 Pr1'
_space_group_name_H-M_alt 'P 1'
_space_group_IT_number 1
_cell_length_a 9.7993
_cell_length_b 9.7993
_cell_length_c 9.7993
_cell_angle_alpha 148.89
_cell_angle_beta 115.94
_cell_angle_gamma 72.92
loop_
_space_group_symop_operation_xyz
'x,y,z'
loop_
_atom_site_label
_atom_site_fract_x
_atom_site_fract_y
_atom_site_fract_z
_atom_site_occupancy
La1 0.0828 0.3332 0.7496 1
La2 0.2492 0.0000 0.2492 1
La3 0.4164 0.6668 0.7496 1
La4 0.5836 0.3332 0.2504 1
La5 0.7508 0.0000 0.7508 1
La6 0.9172 0.6668 0.2504 1
Pm1 0.0000 0.5000 0.5000 1
Pm2 0.1666 0.1666 0.0000 1
Pm3 0.3327 0.8327 0.5000 1
Pm4 0.6673 0.1673 0.5000 1
Pm5 0.8334 0.8334 0.0000 1
Pr1 0.5000 0.5000 0.0000 1
```

Most intense lines, 2θ = 5–70°, sorted by position:
| Position (°2θ) | I (rel.) |
| --- | --- |
| 29.6 | 100 |
| 34.1 | 34 |
| 34.5 | 17 |
| 49.3 | 24 |
| 58.3 | 29 |
| 58.8 | 14 |



5.
Calculated powder X-ray diffraction pattern of TbHo2Tm2In for CuKα, from a PBE-relaxed structure.

Structure:
```
data_TbHo2Tm2In
_chemical_formula_sum 'Tb2 Ho4 Tm4 In2'
_space_group_name_H-M_alt 'P 1'
_space_group_IT_number 1
_cell_length_a 6.5592
_cell_length_b 9.9793
_cell_length_c 5.4084
_cell_angle_alpha 90.00
_cell_angle_beta 90.00
_cell_angle_gamma 90.00
loop_
_space_group_symop_operation_xyz
'x,y,z'
loop_
_atom_site_label
_atom_site_fract_x
_atom_site_fract_y
_atom_site_fract_z
_atom_site_occupancy
Tb1 0.0000 0.0000 0.0000 1
Tb2 0.5000 0.5000 0.5000 1
Ho1 0.2185 0.1913 0.5000 1
Ho2 0.2815 0.6913 0.0000 1
Ho3 0.7185 0.3087 0.0000 1
Ho4 0.7815 0.8087 0.5000 1
Tm1 0.2095 0.3665 0.0000 1
Tm2 0.2905 0.8665 0.5000 1
Tm3 0.7095 0.1335 0.5000 1
Tm4 0.7905 0.6335 0.0000 1
In1 0.0000 0.5000 0.5000 1
In2 0.5000 0.0000 0.0000 1
```

Most intense lines, 2θ = 5–70°, sorted by position:
| Position (°2θ) | I (rel.) |
| --- | --- |
| 31.6 | 72 |
| 32.7 | 26 |
| 33.2 | 100 |
| 34.5 | 18 |
| 47.2 | 19 |
| 58.2 | 13 |



6.
Calculated powder X-ray diffraction pattern of Ta3C5 for CuKα, from a PBE-relaxed structure.

Structure:
```
data_Ta3C5
_chemical_formula_sum 'Ta3 C5'
_space_group_name_H-M_alt 'P 1'
_space_group_IT_number 1
_cell_length_a 3.0593
_cell_length_b 3.0593
_cell_length_c 9.7350
_cell_angle_alpha 90.00
_cell_angle_beta 90.00
_cell_angle_gamma 90.00
loop_
_space_group_symop_operation_xyz
'x,y,z'
loop_
_atom_site_label
_atom_site_fract_x
_atom_site_fract_y
_atom_site_fract_z
_atom_site_occupancy
Ta1 0.0000 0.0000 0.0000 1
Ta2 0.5000 0.5000 0.2778 1
Ta3 0.5000 0.5000 0.7222 1
C1 0.0000 0.0000 0.3613 1
C2 0.0000 0.0000 0.5000 1
C3 0.0000 0.0000 0.6387 1
C4 0.5000 0.5000 0.0735 1
C5 0.5000 0.5000 0.9265 1
```

Most intense lines, 2θ = 5–70°, sorted by position:
| Position (°2θ) | I (rel.) |
| --- | --- |
| 9.1 | 26 |
| 27.5 | 24 |
| 30.6 | 20 |
| 34.6 | 100 |
| 41.8 | 40 |
| 56.0 | 21 |



7.
Calculated powder X-ray diffraction pattern of Pr8Dy3Sc for CuKα, from a PBE-relaxed structure.

Structure:
```
data_Pr8Dy3Sc
_chemical_formula_sum 'Pr8 Dy3 Sc1'
_space_group_name_H-M_alt 'P 1'
_space_group_IT_number 1
_cell_length_a 8.5238
_cell_length_b 8.5238
_cell_length_c 8.5238
_cell_angle_alpha 118.26
_cell_angle_beta 118.26
_cell_angle_gamma 93.04
loop_
_space_group_symop_operation_xyz
'x,y,z'
loop_
_atom_site_label
_atom_site_fract_x
_atom_site_fract_y
_atom_site_fract_z
_atom_site_occupancy
Pr1 0.1300 0.1300 0.7479 1
Pr2 0.2429 0.7246 0.0000 1
Pr3 0.2754 0.2754 0.5183 1
Pr4 0.3821 0.3821 0.2521 1
Pr5 0.6179 0.8700 0.0000 1
Pr6 0.7246 0.2429 0.0000 1
Pr7 0.7571 0.7571 0.4817 1
Pr8 0.8700 0.6179 0.0000 1
Dy1 0.0000 0.0000 0.0000 1
Dy2 0.2500 0.7500 0.5000 1
Dy3 0.7500 0.2500 0.5000 1
Sc1 0.5000 0.5000 0.0000 1
```

Most intense lines, 2θ = 5–70°, sorted by position:
| Position (°2θ) | I (rel.) |
| --- | --- |
| 24.0 | 76 |
| 25.4 | 80 |
| 28.9 | 79 |
| 30.5 | 75 |
| 32.4 | 56 |
| 35.9 | 100 |



8.
Calculated powder X-ray diffraction pattern of TbZr6Sc12 for CuKα, from a PBE-relaxed structure.

Structure:
```
data_TbZr6Sc12
_chemical_formula_sum 'Tb1 Zr6 Sc12'
_space_group_name_H-M_alt 'P 1'
_space_group_IT_number 1
_cell_length_a 7.8235
_cell_length_b 8.0778
_cell_length_c 8.3685
_cell_angle_alpha 74.60
_cell_angle_beta 82.19
_cell_angle_gamma 64.94
loop_
_space_group_symop_operation_xyz
'x,y,z'
loop_
_atom_site_label
_atom_site_fract_x
_atom_site_fract_y
_atom_site_fract_z
_atom_site_occupancy
Tb1 0.0000 0.0000 0.0000 1
Zr1 0.0504 0.2971 0.2474 1
Zr2 0.1779 0.9450 0.5616 1
Zr3 0.2147 0.2720 0.8883 1
Zr4 0.7853 0.7280 0.1117 1
Zr5 0.8221 0.0550 0.4384 1
Zr6 0.9496 0.7029 0.7526 1
Sc1 0.0932 0.6507 0.3884 1
Sc2 0.2593 0.5611 0.0414 1
Sc3 0.3459 0.8917 0.2002 1
Sc4 0.3698 0.2109 0.5214 1
Sc5 0.4139 0.5277 0.6813 1
Sc6 0.4616 0.8484 0.8341 1
Sc7 0.5384 0.1516 0.1659 1
Sc8 0.5861 0.4723 0.3187 1
Sc9 0.6302 0.7891 0.4786 1
Sc10 0.6541 0.1083 0.7998 1
Sc11 0.7407 0.4389 0.9586 1
Sc12 0.9068 0.3493 0.6116 1
```

Most intense lines, 2θ = 5–70°, sorted by position:
| Position (°2θ) | I (rel.) |
| --- | --- |
| 12.5 | 39 |
| 32.9 | 35 |
| 34.6 | 100 |
| 35.1 | 66 |
| 35.7 | 53 |
| 36.2 | 47 |



9.
Calculated powder X-ray diffraction pattern of Mg6PdAu2 for CuKα, from a PBE-relaxed structure.

Structure:
```
data_Mg6PdAu2
_chemical_formula_sum 'Mg6 Pd1 Au2'
_space_group_name_H-M_alt 'P 1'
_space_group_IT_number 1
_cell_length_a 4.7057
_cell_length_b 4.7057
_cell_length_c 8.7840
_cell_angle_alpha 90.00
_cell_angle_beta 90.00
_cell_angle_gamma 120.00
loop_
_space_group_symop_operation_xyz
'x,y,z'
loop_
_atom_site_label
_atom_site_fract_x
_atom_site_fract_y
_atom_site_fract_z
_atom_site_occupancy
Mg1 0.0000 0.0000 0.2014 1
Mg2 0.0000 0.0000 0.7986 1
Mg3 0.3333 0.6667 0.0658 1
Mg4 0.3333 0.6667 0.4128 1
Mg5 0.6667 0.3333 0.5872 1
Mg6 0.6667 0.3333 0.9342 1
Pd1 0.0000 0.0000 0.5000 1
Au1 0.3333 0.6667 0.7483 1
Au2 0.6667 0.3333 0.2517 1
```

Most intense lines, 2θ = 5–70°, sorted by position:
| Position (°2θ) | I (rel.) |
| --- | --- |
| 24.1 | 100 |
| 29.9 | 33 |
| 37.8 | 68 |
| 38.3 | 67 |
| 54.9 | 23 |
| 68.9 | 23 |



10.
Calculated powder X-ray diffraction pattern of Er3TeOs for CuKα, from a PBE-relaxed structure.

Structure:
```
data_Er3TeOs
_chemical_formula_sum 'Er6 Te2 Os2'
_space_group_name_H-M_alt 'P 1'
_space_group_IT_number 1
_cell_length_a 7.1909
_cell_length_b 7.1909
_cell_length_c 9.7997
_cell_angle_alpha 99.37
_cell_angle_beta 99.37
_cell_angle_gamma 32.58
loop_
_space_group_symop_operation_xyz
'x,y,z'
loop_
_atom_site_label
_atom_site_fract_x
_atom_site_fract_y
_atom_site_fract_z
_atom_site_occupancy
Er1 0.0332 0.0332 0.3578 1
Er2 0.2449 0.2449 0.6426 1
Er3 0.3623 0.3623 0.1322 1
Er4 0.6377 0.6377 0.8678 1
Er5 0.7551 0.7551 0.3574 1
Er6 0.9668 0.9668 0.6422 1
Te1 0.1384 0.1384 0.1063 1
Te2 0.8616 0.8616 0.8937 1
Os1 0.3967 0.3967 0.4320 1
Os2 0.6033 0.6033 0.5680 1
```

Most intense lines, 2θ = 5–70°, sorted by position:
| Position (°2θ) | I (rel.) |
| --- | --- |
| 9.2 | 96 |
| 30.3 | 61 |
| 32.1 | 100 |
| 35.4 | 63 |
| 37.2 | 48 |
| 44.9 | 51 |